Entry 1:
CaPm3Ag3: computed X-ray powder pattern (Cu Kα X-rays), based on the PBE geometry in Alexandria.
Lines closer than 0.1° are merged.

Largest 12 diffraction maxima, by intensity, 2θ = 5–70°:
d/Å	2θ (°)	I_rel
2.606	34.42	100.0
2.895	30.89	58.6
2.740	32.69	46.5
2.303	39.12	45.5
3.089	28.90	34.5
2.973	30.05	27.1
1.703	53.82	22.8
1.990	45.59	21.9
5.119	17.32	19.4
2.560	35.06	16.9
5.479	16.18	16.4
3.233	27.59	15.7

```
data_CaPm3Ag3
_cell_length_a 10.154
_cell_length_b 10.958
_cell_length_c 7.171
_cell_angle_alpha 90.00
_cell_angle_beta 91.39
_cell_angle_gamma 90.00
_symmetry_space_group_name_H-M 'C 1 2/m 1'
_symmetry_Int_Tables_number 12
loop_
_symmetry_equiv_pos_as_xyz
'x,y,z'
'-x,-y,-z'
'-x,y,-z'
'x,-y,z'
'x+1/2,y+1/2,z'
'-x+1/2,-y+1/2,-z'
'-x+1/2,y+1/2,-z'
'x+1/2,-y+1/2,z'
loop_
_atom_site_label
_atom_site_type_symbol
_atom_site_fract_x
_atom_site_fract_y
_atom_site_fract_z
Ca1 Ca 0.239 0.000 0.366
Pm1 Pm 0.000 0.240 0.500
Pm2 Pm 0.000 0.317 0.000
Pm3 Pm 0.137 0.000 0.867
Ag1 Ag 0.069 0.500 0.315
Ag2 Ag 0.242 0.257 0.230
```

***

Entry 2:
MnCdGa4Se8: computed X-ray powder pattern (Cu Kα X-rays), based on the PBE geometry in Alexandria.
Lines closer than 0.1° are merged.

Largest 12 diffraction maxima, by intensity, 2θ = 5–70°:
d/Å	2θ (°)	I_rel
3.283	27.16	100.0
1.992	45.53	44.7
1.738	52.68	29.4
2.048	44.23	25.0
1.671	54.95	12.1
1.448	64.33	7.7
5.123	17.31	7.6
2.521	35.61	6.1
2.562	35.03	5.4
4.096	21.70	4.4
3.094	28.85	4.3
2.280	39.52	3.3

```
data_MnCdGa4Se8
_cell_length_a 5.792
_cell_length_b 5.792
_cell_length_c 10.981
_cell_angle_alpha 90.00
_cell_angle_beta 90.00
_cell_angle_gamma 90.00
_symmetry_space_group_name_H-M 'P -4'
_symmetry_Int_Tables_number 81
loop_
_symmetry_equiv_pos_as_xyz
'x,y,z'
'y,-x,-z'
'-x,-y,z'
'-y,x,-z'
loop_
_atom_site_label
_atom_site_type_symbol
_atom_site_fract_x
_atom_site_fract_y
_atom_site_fract_z
Mn1 Mn 0.000 0.000 0.000
Cd1 Cd 0.500 0.500 0.500
Ga1 Ga 0.000 0.000 0.500
Ga2 Ga 0.000 0.500 0.248
Ga3 Ga 0.500 0.500 0.000
Se1 Se 0.225 0.242 0.640
Se2 Se 0.252 0.737 0.869
```

***

Entry 3:
TaHg2I5: computed X-ray powder pattern (Cu Kα X-rays), based on the PBE geometry in Alexandria.
Lines closer than 0.1° are merged.

Largest 12 diffraction maxima, by intensity, 2θ = 5–70°:
d/Å	2θ (°)	I_rel
3.471	25.66	100.0
6.061	14.61	43.9
3.817	23.31	31.6
3.278	27.21	28.7
2.258	39.92	24.1
4.091	21.72	22.8
5.071	17.49	22.4
2.306	39.07	18.4
2.647	33.86	17.3
2.634	34.03	17.1
3.124	28.57	16.0
2.157	41.88	16.0

```
data_TaHg2I5
_cell_length_a 7.763
_cell_length_b 7.768
_cell_length_c 8.096
_cell_angle_alpha 110.57
_cell_angle_beta 100.37
_cell_angle_gamma 116.41
_symmetry_space_group_name_H-M 'P 1'
_symmetry_Int_Tables_number 1
loop_
_symmetry_equiv_pos_as_xyz
'x,y,z'
loop_
_atom_site_label
_atom_site_type_symbol
_atom_site_fract_x
_atom_site_fract_y
_atom_site_fract_z
Ta1 Ta 0.000 0.000 0.000
Hg1 Hg 0.374 0.871 0.499
Hg2 Hg 0.770 0.270 0.500
I1 I 0.004 0.661 0.001
I2 I 0.179 0.230 0.393
I3 I 0.328 0.329 0.000
I4 I 0.659 0.001 0.999
I5 I 0.838 0.786 0.607
```

***

Entry 4:
Ac2MgPd6Pb3: computed X-ray powder pattern (Cu Kα X-rays), based on the PBE geometry in Alexandria.
Lines closer than 0.1° are merged.

Largest 12 diffraction maxima, by intensity, 2θ = 5–70°:
d/Å	2θ (°)	I_rel
3.425	26.01	100.0
2.082	43.48	79.2
2.130	42.43	68.6
2.968	30.11	50.4
1.507	61.52	45.2
2.845	31.45	45.2
3.013	29.65	44.3
1.809	50.45	34.9
2.136	42.32	33.2
2.684	33.39	26.8
8.638	10.24	23.7
3.455	25.79	19.5

```
data_Ac2MgPd6Pb3
_cell_length_a 4.261
_cell_length_b 4.261
_cell_length_c 17.275
_cell_angle_alpha 90.00
_cell_angle_beta 90.00
_cell_angle_gamma 90.00
_symmetry_space_group_name_H-M 'P 4/m m m'
_symmetry_Int_Tables_number 123
_symmetry_space_group_name_Hall '-P 4 2'
loop_
_atom_site_label
_atom_site_type_symbol
_atom_site_fract_x
_atom_site_fract_y
_atom_site_fract_z
Ac1 Ac 0.000 0.000 0.195
Mg1 Mg 0.000 0.000 0.500
Pd1 Pd 0.000 0.500 0.412
Pd2 Pd 0.500 0.500 0.153
Pb1 Pb 0.500 0.500 0.000
Pb2 Pb 0.500 0.500 0.314
```